Structure and calculated X-ray diffraction stick pattern of Ce5ErTe6 (a PBE-relaxed structure; Cu Kα X-rays).
Neutral-atom scattering factors, no anomalous dispersion.

Main lines, by angle (2θ from 15° to 90°):
| d [Å] | Rel. int. | (hkl) |
| --- | --- | --- |
| 3.154 | 100 | 2 0 -2 |
| 2.234 | 38 | 3 3 -1 |
| 2.226 | 38 | 1 3 -3 |
| 1.824 | 14 | 2 6 -2 |
| 1.577 | 13 | 4 0 -4 |
| 1.412 | 11 | 5 3 -3 |
| 1.409 | 12 | 3 3 -5 |
| 1.290 | 8 | 1 9 -3 |

Crystal structure
```
data_Ce5ErTe6
_chemical_formula_sum 'Ce10 Er2 Te12'
_space_group_name_H-M_alt 'C 1 2/m 1'
_space_group_IT_number 12
_cell_length_a 7.7292
_cell_length_b 13.4185
_cell_length_c 7.7066
_cell_angle_alpha 90.00
_cell_angle_beta 109.65
_cell_angle_gamma 90.00
loop_
_space_group_symop_operation_xyz
'x,y,z'
'-x,-y,-z'
'-x,y,-z'
'x,-y,z'
'x+1/2,y+1/2,z'
'-x+1/2,-y+1/2,-z'
'-x+1/2,y+1/2,-z'
'x+1/2,-y+1/2,z'
loop_
_atom_site_label
_atom_site_fract_x
_atom_site_fract_y
_atom_site_fract_z
Ce1 0.0000 0.0000 0.0000
Ce2 0.0000 0.1651 0.5000
Ce3 0.0000 0.3278 0.0000
Er1 0.0000 0.5000 0.5000
Te1 0.2405 0.5000 0.2503
Te2 0.2428 0.3374 0.7429
```